Structure and computed XRD peak list of CaMg14VO16 (a cell relaxed with PBE+U; λ = 1.5418 Å (Cu Kα)).
Kinematic intensities with the Lorentz-polarization factor, no thermal factor.

```
32
Lattice="8.6121 0.0000 0.0000 0.0000 8.6121 0.0000 0.0000 0.0000 4.3320" Properties=species:S:1:pos:R:3 pbc="T T T"
Ca 0.0000 0.0000 0.0000
Mg 0.0000 2.2040 2.1660
Mg 0.0000 4.3060 0.0000
Mg 0.0000 6.4081 2.1660
Mg 2.1489 4.3060 2.1660
Mg 2.1759 2.1759 0.0000
Mg 2.1759 6.4362 0.0000
Mg 2.2040 0.0000 2.1660
Mg 4.3060 0.0000 0.0000
Mg 4.3060 2.1489 2.1660
Mg 4.3060 6.4632 2.1660
Mg 6.4081 0.0000 2.1660
Mg 6.4362 2.1759 0.0000
Mg 6.4362 6.4362 0.0000
Mg 6.4632 4.3060 2.1660
V 4.3060 4.3060 0.0000
O 0.0000 0.0000 2.1660
O 0.0000 2.2651 0.0000
O 0.0000 4.3060 2.1660
O 0.0000 6.3470 0.0000
O 2.1273 4.3060 0.0000
O 2.1564 2.1564 2.1660
O 2.1564 6.4557 2.1660
O 2.2651 0.0000 0.0000
O 4.3060 0.0000 2.1660
O 4.3060 2.1273 0.0000
O 4.3060 4.3060 2.1660
O 4.3060 6.4848 0.0000
O 6.3470 0.0000 0.0000
O 6.4557 2.1564 2.1660
O 6.4557 6.4557 2.1660
O 6.4848 4.3060 0.0000
```

The 10 most intense peaks (2θ = 5–70°), in order of falling intensity:
2θ/deg  d (Å)  I (rel.)
41.96  2.153  100
60.64  1.527  57
41.70  2.166  51
60.85  1.522  28
36.05  2.491  22
29.27  3.051  3
14.55  6.090  3
25.23  3.530  2
20.63  4.306  2
32.89  2.723  2

Structure and computed XRD peak list of Pm2FeF8 (a cell relaxed with PBE+U; λ = 1.5418 Å (Cu Kα)).
Kinematic intensities with the Lorentz-polarization factor, no thermal factor.

```
11
Lattice="7.6010 -1.8753 0.0000 7.6010 1.8753 0.0000 -1.8539 0.0000 5.0143" Properties=species:S:1:pos:R:3 pbc="T T T"
Pm 2.3051 0.0000 0.8195
Pm 11.0430 0.0000 4.1948
Fe 6.6740 0.0000 2.5072
F -0.7572 0.0000 3.7929
F 2.2617 0.0000 3.1288
F 4.6965 0.0000 0.5170
F 4.8938 0.0000 3.5832
F 8.4543 0.0000 1.4311
F 8.6516 0.0000 4.4973
F 11.0863 0.0000 1.8855
F 14.1053 0.0000 1.2214
```

The 10 most intense peaks (2θ = 5–70°), in order of falling intensity:
2θ/deg  d (Å)  I (rel.)
29.08  3.070  100
25.00  3.561  90
25.14  3.543  90
30.36  2.944  85
48.53  1.876  71
45.77  1.982  60
12.42  7.129  51
45.93  1.976  46
55.40  1.658  40
48.36  1.882  38